This entry pairs a crystal structure of V3S4 with its theoretical PXRD pattern. Radiation: Cu Kα (weighted mean of Kα1 and Kα2). Structure: the GGA-PBE geometry in the Materials Project.
Kinematic intensities with the Lorentz-polarization factor, no thermal factor.

Most intense lines, 10° ≤ 2θ ≤ 80°, in order of rising 2θ:
two_theta  I/Imax  index
15.1  60  0 0 1
17.4  93  2 0 0
36.8  57  3 1 -1
39.7  33  3 1 0
39.8  60  4 0 -3
39.9  100  1 1 -2
47.2  72  1 1 2
48.5  69  5 1 -1

Structural model:
```
data_V3S4
_cell_length_a 12.2236
_cell_length_b 3.0547
_cell_length_c 7.0247
_cell_angle_alpha 90.00
_cell_angle_beta 123.38
_cell_angle_gamma 90.00
_symmetry_space_group_name_H-M 'C 1 2/m 1'
_symmetry_Int_Tables_number 12
loop_
_symmetry_equiv_pos_as_xyz
'x,y,z'
'-x,-y,-z'
'-x,y,-z'
'x,-y,z'
'x+1/2,y+1/2,z'
'-x+1/2,-y+1/2,-z'
'-x+1/2,y+1/2,-z'
'x+1/2,-y+1/2,z'
loop_
_atom_site_label
_atom_site_type_symbol
_atom_site_fract_x
_atom_site_fract_y
_atom_site_fract_z
V1 V 0.0000 0.0000 0.0000
V2 V 0.0900 0.0000 0.4597
S1 S 0.0924 0.5000 0.7443
S2 S 0.1612 0.5000 0.2767
```